No. 1
Starting from a PBE-relaxed structure, the powder X-ray diffraction pattern of Na2ZrSeO2 was calculated for copper Kα.

Largest 6 diffraction maxima, low angle first, 2θ from 5° to 70°:
hkl 0 0 1, 14.23 deg, d = 6.223 Å, rel. 57
hkl 1 1 -1, 18.76 deg, d = 4.731 Å, rel. 65
hkl 0 2 2, 33.08 deg, d = 2.708 Å, rel. 35
hkl 2 0 -2, 34.22 deg, d = 2.620 Å, rel. 56
hkl 1 3 1, 35.23 deg, d = 2.548 Å, rel. 100
hkl 1 3 -3, 47.63 deg, d = 1.909 Å, rel. 34

Structural model:
a = 6.0126 Å, b = 10.9927 Å, c = 6.7109 Å
α = 90.00°, β = 111.99°, γ = 90.00°
Space group C2/m (No. 12)
Unique sites:
Na 0.0000 0.0000 0.0000 (multiplicity 2)
Na 0.0000 0.1990 0.5000 (multiplicity 4)
Na 0.0000 0.5000 0.5000 (multiplicity 2)
Zr 0.0000 0.3071 0.0000 (multiplicity 4)
Se 0.2480 0.5000 0.2541 (multiplicity 4)
O 0.2304 0.3066 0.8146 (multiplicity 8)

No. 2
Starting from a PBE-relaxed structure, the powder X-ray diffraction pattern of NaSmSiO4 was calculated for copper Kα.

Largest 6 diffraction maxima, low angle first, 2θ from 5° to 70°:
hkl 2 0 0, 15.07 deg, d = 5.878 Å, rel. 77
hkl 1 0 1, 18.19 deg, d = 4.876 Å, rel. 97
hkl 1 3 0, 23.94 deg, d = 3.718 Å, rel. 81
hkl 3 0 1, 28.21 deg, d = 3.163 Å, rel. 80
hkl 3 2 1, 32.13 deg, d = 2.786 Å, rel. 100
hkl 1 6 1, 50.18 deg, d = 1.818 Å, rel. 60

Structural model:
a = 11.7567 Å, b = 11.7567 Å, c = 5.3583 Å
α = 90.00°, β = 90.00°, γ = 90.00°
Space group I4/m (No. 87)
Unique sites:
Na 0.0867 0.3945 0.0000 (multiplicity 8)
Sm 0.1225 0.8089 0.0000 (multiplicity 8)
Si 0.0970 0.2376 0.5000 (multiplicity 8)
O 0.0387 0.1929 0.2433 (multiplicity 16)
O 0.1017 0.3791 0.5000 (multiplicity 8)
O 0.1926 0.7694 0.5000 (multiplicity 8)

No. 3
Starting from a PBE-relaxed structure, the powder X-ray diffraction pattern of Na2Zn3Si2O8 was calculated for copper Kα.

Largest 6 diffraction maxima, low angle first, 2θ from 5° to 70°:
hkl 0 1 -2, 20.15 deg, d = 4.406 Å, rel. 56
hkl 0 2 3, 25.04 deg, d = 3.556 Å, rel. 38
hkl 0 2 -3, 34.67 deg, d = 2.587 Å, rel. 51
hkl 1 3 2, 35.00 deg, d = 2.564 Å, rel. 99
hkl -1 1 4, 35.16 deg, d = 2.553 Å, rel. 65
hkl 1 1 5, 35.49 deg, d = 2.530 Å, rel. 100

Structural model:
a = 5.1255 Å, b = 8.8074 Å, c = 13.3981 Å
α = 72.19°, β = 79.57°, γ = 89.01°
Space group P1 (No. 1)
Unique sites:
Na 0.0000 0.0000 0.0000 (multiplicity 1)
Na 0.0222 0.3717 0.9266 (multiplicity 1)
Na 0.0679 0.7469 0.8493 (multiplicity 1)
Na 0.1832 0.8403 0.5975 (multiplicity 1)
Na 0.3071 0.9838 0.3341 (multiplicity 1)
Na 0.8702 0.8926 0.2498 (multiplicity 1)
Zn 0.2014 0.4791 0.6545 (multiplicity 1)
Zn 0.2843 0.2325 0.5014 (multiplicity 1)
Zn 0.4586 0.7832 0.1541 (multiplicity 1)
Zn 0.5232 0.2136 0.8398 (multiplicity 1)
Zn 0.5290 0.5251 0.0093 (multiplicity 1)
Zn 0.5939 0.9622 0.6921 (multiplicity 1)
Zn 0.7820 0.6813 0.5139 (multiplicity 1)
Zn 0.8602 0.2531 0.1944 (multiplicity 1)
Zn 0.8693 0.4283 0.3628 (multiplicity 1)
Si 0.0711 0.1210 0.7443 (multiplicity 1)
Si 0.3466 0.5993 0.4097 (multiplicity 1)
Si 0.4309 0.1528 0.0902 (multiplicity 1)
Si 0.6199 0.5884 0.7567 (multiplicity 1)
Si 0.7772 0.0669 0.4411 (multiplicity 1)
Si 0.9867 0.6164 0.1054 (multiplicity 1)
O 0.0213 0.5786 0.4217 (multiplicity 1)
O 0.1018 0.7716 0.1284 (multiplicity 1)
O 0.1287 0.2753 0.6352 (multiplicity 1)
O 0.1620 0.5716 0.0038 (multiplicity 1)
O 0.1671 0.1201 0.1848 (multiplicity 1)
O 0.3194 0.1904 0.9791 (multiplicity 1)
O 0.3525 0.0600 0.7857 (multiplicity 1)
O 0.4027 0.6384 0.5189 (multiplicity 1)
O 0.4198 0.4361 0.7656 (multiplicity 1)
O 0.4434 0.7458 0.7253 (multiplicity 1)
O 0.4749 0.7461 0.3073 (multiplicity 1)
O 0.4795 0.4293 0.4072 (multiplicity 1)
O 0.5202 0.0505 0.5405 (multiplicity 1)
O 0.6182 0.9990 0.1134 (multiplicity 1)
O 0.6299 0.3052 0.0843 (multiplicity 1)
O 0.6650 0.1108 0.3307 (multiplicity 1)
O 0.6941 0.6670 0.0719 (multiplicity 1)
O 0.7385 0.5621 0.8645 (multiplicity 1)
O 0.8793 0.6059 0.6583 (multiplicity 1)
O 0.8923 0.1737 0.8409 (multiplicity 1)
O 0.9336 0.8996 0.4624 (multiplicity 1)
O 0.9504 0.9700 0.7174 (multiplicity 1)
O 0.9604 0.4581 0.2114 (multiplicity 1)
O 0.9878 0.2108 0.4336 (multiplicity 1)